# 1
Theoretical powder XRD pattern of Ac2Mg6Pd3 for copper Kα, from the GGA-PBE geometry in Alexandria.
Kinematic intensities with the Lorentz-polarization factor, no thermal factor.

Crystal structure
Lattice parameters (Å, degrees): 8.453 8.453 4.342 90.00 90.00 120.00
Element x y z (fractional)
1 Ac 0.333 0.667 0.000
2 Ac 0.667 0.333 0.000
3 Mg 0.000 0.205 0.000
4 Mg 0.000 0.711 0.500
5 Mg 0.205 0.000 0.000
6 Mg 0.289 0.289 0.500
7 Mg 0.711 0.000 0.500
8 Mg 0.795 0.795 0.000
9 Pd 0.000 0.387 0.500
10 Pd 0.387 0.000 0.500
11 Pd 0.613 0.613 0.500

Largest 10 diffraction maxima, by angle, 2θ from 10° to 80°:
2θ = 12.1°, I 46
2θ = 21.0°, I 31
2θ = 29.5°, I 100
2θ = 32.0°, I 26
2θ = 32.4°, I 17
2θ = 36.8°, I 35
2θ = 38.6°, I 25
2θ = 47.9°, I 20
2θ = 56.8°, I 20
2θ = 61.9°, I 21

=====

# 2
Theoretical powder XRD pattern of CdSiHg2 for copper Kα, from the GGA-PBE geometry in Alexandria.
Kinematic intensities with the Lorentz-polarization factor, no thermal factor.

Crystal structure
Lattice parameters (Å, degrees): 2.893 5.556 5.643 90.00 90.00 90.00
Element x y z (fractional)
1 Cd 0.000 0.000 0.000
2 Si 0.500 0.000 0.500
3 Hg 0.000 0.500 0.500
4 Hg 0.500 0.500 0.000

Largest 10 diffraction maxima, by angle, 2θ from 10° to 80°:
2θ = 16.0°, I 45
2θ = 31.7°, I 42
2θ = 32.2°, I 40
2θ = 34.9°, I 15
2θ = 35.7°, I 14
2θ = 38.5°, I 100
2θ = 45.8°, I 31
2θ = 48.2°, I 12
2θ = 61.1°, I 26
2θ = 61.7°, I 25

=====

# 3
Theoretical powder XRD pattern of SrYRe for copper Kα, from the GGA-PBE geometry in Alexandria.
Kinematic intensities with the Lorentz-polarization factor, no thermal factor.

Crystal structure
Lattice parameters (Å, degrees): 7.457 7.457 7.457 152.88 152.88 38.72
Element x y z (fractional)
1 Sr 0.000 0.000 0.000
2 Y 0.747 0.747 0.000
3 Re 0.355 0.355 0.000

Largest 10 diffraction maxima, by angle, 2θ from 10° to 80°:
2θ = 12.6°, I 76
2θ = 31.9°, I 100
2θ = 36.3°, I 49
2θ = 38.6°, I 20
2θ = 41.2°, I 45
2θ = 52.3°, I 17
2θ = 53.9°, I 9
2θ = 62.6°, I 29
2θ = 65.1°, I 14
2θ = 68.7°, I 20

=====

# 4
Theoretical powder XRD pattern of NaIn2GaHg4 for copper Kα, from the GGA-PBE geometry in Alexandria.
Kinematic intensities with the Lorentz-polarization factor, no thermal factor.

Crystal structure
Lattice parameters (Å, degrees): 7.398 7.389 6.079 65.80 65.65 48.55
Element x y z (fractional)
1 Na 0.000 0.000 0.000
2 In 0.500 0.500 0.500
3 In 0.750 0.750 0.750
4 Ga 0.250 0.250 0.250
5 Hg 0.012 0.012 0.488
6 Hg 0.253 0.253 0.747
7 Hg 0.488 0.488 0.012
8 Hg 0.747 0.747 0.253

Largest 10 diffraction maxima, by angle, 2θ from 10° to 80°:
2θ = 25.5°, I 47
2θ = 29.4°, I 100
2θ = 29.7°, I 47
2θ = 42.0°, I 19
2θ = 42.1°, I 19
2θ = 42.3°, I 73
2θ = 49.8°, I 17
2θ = 52.3°, I 20
2θ = 52.4°, I 20
2θ = 69.2°, I 26

=====

# 5
Theoretical powder XRD pattern of CeH6PdRu for copper Kα, from the GGA-PBE geometry in Alexandria.
Kinematic intensities with the Lorentz-polarization factor, no thermal factor.

Crystal structure
Lattice parameters (Å, degrees): 4.731 4.731 4.295 90.00 90.00 120.00
Element x y z (fractional)
1 Ce 0.000 0.000 0.000
2 H 0.512 0.023 0.225
3 H 0.512 0.023 0.775
4 H 0.512 0.488 0.225
5 H 0.512 0.488 0.775
6 H 0.977 0.488 0.225
7 H 0.977 0.488 0.775
8 Pd 0.333 0.667 0.500
9 Ru 0.667 0.333 0.500

Largest 10 diffraction maxima, by angle, 2θ from 10° to 80°:
2θ = 20.7°, I 4
2θ = 30.1°, I 100
2θ = 38.0°, I 54
2θ = 42.1°, I 13
2θ = 43.7°, I 3
2θ = 49.3°, I 25
2θ = 58.0°, I 32
2θ = 63.9°, I 23
2θ = 68.7°, I 9
2θ = 69.6°, I 9

=====

# 6
Theoretical powder XRD pattern of Pm2Pb for copper Kα, from the GGA-PBE geometry in Alexandria.
Kinematic intensities with the Lorentz-polarization factor, no thermal factor.

Crystal structure
Lattice parameters (Å, degrees): 7.003 5.031 10.669 90.00 90.00 90.00
Element x y z (fractional)
1 Pm 0.078 0.250 0.208
2 Pm 0.166 0.250 0.550
3 Pm 0.334 0.750 0.050
4 Pm 0.422 0.750 0.708
5 Pm 0.578 0.250 0.292
6 Pm 0.666 0.250 0.950
7 Pm 0.834 0.750 0.450
8 Pm 0.922 0.750 0.792
9 Pb 0.193 0.250 0.874
10 Pb 0.307 0.750 0.374
11 Pb 0.693 0.250 0.626
12 Pb 0.807 0.750 0.126

Largest 10 diffraction maxima, by angle, 2θ from 10° to 80°:
2θ = 28.1°, I 31
2θ = 30.8°, I 92
2θ = 31.1°, I 100
2θ = 32.3°, I 55
2θ = 33.4°, I 77
2θ = 35.7°, I 58
2θ = 36.0°, I 39
2θ = 51.6°, I 28
2θ = 56.4°, I 26
2θ = 65.7°, I 24

=====

# 7
Theoretical powder XRD pattern of Cu2AsI5 for copper Kα, from the GGA-PBE geometry in Alexandria.
Kinematic intensities with the Lorentz-polarization factor, no thermal factor.

Crystal structure
Lattice parameters (Å, degrees): 7.482 7.482 7.789 116.70 116.70 64.58
Element x y z (fractional)
1 Cu 0.201 0.799 0.000
2 Cu 0.799 0.201 0.000
3 As 0.156 0.156 0.502
4 I 0.035 0.035 0.768
5 I 0.399 0.399 0.851
6 I 0.469 0.947 0.341
7 I 0.880 0.880 0.109
8 I 0.947 0.469 0.341

Largest 10 diffraction maxima, by angle, 2θ from 10° to 80°:
2θ = 13.8°, I 61
2θ = 14.8°, I 100
2θ = 26.1°, I 61
2θ = 26.4°, I 72
2θ = 26.8°, I 41
2θ = 27.6°, I 46
2θ = 27.9°, I 31
2θ = 32.2°, I 33
2θ = 45.3°, I 42
2θ = 47.2°, I 29

=====

Please write out number 4 again, unchanged.
Theoretical powder XRD pattern of NaIn2GaHg4 for copper Kα, from the GGA-PBE geometry in Alexandria.
Kinematic intensities with the Lorentz-polarization factor, no thermal factor.

Crystal structure
Lattice parameters (Å, degrees): 7.398 7.389 6.079 65.80 65.65 48.55
Element x y z (fractional)
1 Na 0.000 0.000 0.000
2 In 0.500 0.500 0.500
3 In 0.750 0.750 0.750
4 Ga 0.250 0.250 0.250
5 Hg 0.012 0.012 0.488
6 Hg 0.253 0.253 0.747
7 Hg 0.488 0.488 0.012
8 Hg 0.747 0.747 0.253

Largest 10 diffraction maxima, by angle, 2θ from 10° to 80°:
2θ = 25.5°, I 47
2θ = 29.4°, I 100
2θ = 29.7°, I 47
2θ = 42.0°, I 19
2θ = 42.1°, I 19
2θ = 42.3°, I 73
2θ = 49.8°, I 17
2θ = 52.3°, I 20
2θ = 52.4°, I 20
2θ = 69.2°, I 26

=====

Repeat the first record exactly.
Theoretical powder XRD pattern of Ac2Mg6Pd3 for copper Kα, from the GGA-PBE geometry in Alexandria.
Kinematic intensities with the Lorentz-polarization factor, no thermal factor.

Crystal structure
Lattice parameters (Å, degrees): 8.453 8.453 4.342 90.00 90.00 120.00
Element x y z (fractional)
1 Ac 0.333 0.667 0.000
2 Ac 0.667 0.333 0.000
3 Mg 0.000 0.205 0.000
4 Mg 0.000 0.711 0.500
5 Mg 0.205 0.000 0.000
6 Mg 0.289 0.289 0.500
7 Mg 0.711 0.000 0.500
8 Mg 0.795 0.795 0.000
9 Pd 0.000 0.387 0.500
10 Pd 0.387 0.000 0.500
11 Pd 0.613 0.613 0.500

Largest 10 diffraction maxima, by angle, 2θ from 10° to 80°:
2θ = 12.1°, I 46
2θ = 21.0°, I 31
2θ = 29.5°, I 100
2θ = 32.0°, I 26
2θ = 32.4°, I 17
2θ = 36.8°, I 35
2θ = 38.6°, I 25
2θ = 47.9°, I 20
2θ = 56.8°, I 20
2θ = 61.9°, I 21